For MnH12S2N2O10, a crystal structure in Alexandria, relaxed with GGA+U gives the computed powder diffractogram in this record (Cu Kα X-rays).
Intensities are scaled so that the largest is 100.

Cell lengths 6.375, 5.424, 15.505 Å; angles 90.00, 94.80, 90.00 degrees
Space group P2_1/c (No. 14)
Symmetry-distinct sites (fractional):
1 Mn 0.000 0.000 0.000 (multiplicity 2)
2 H 0.111 0.111 0.297 (multiplicity 4)
3 H 0.217 0.570 0.044 (multiplicity 4)
4 H 0.222 0.722 0.131 (multiplicity 4)
5 H 0.293 0.179 0.436 (multiplicity 4)
6 H 0.369 0.107 0.285 (multiplicity 4)
7 H 0.390 0.229 0.032 (multiplicity 4)
8 S 0.252 0.742 0.327 (multiplicity 4)
9 N 0.256 0.052 0.324 (multiplicity 4)
10 O 0.078 0.688 0.381 (multiplicity 4)
11 O 0.207 0.643 0.239 (multiplicity 4)
12 O 0.212 0.739 0.068 (multiplicity 4)
13 O 0.261 0.221 0.496 (multiplicity 4)
14 O 0.461 0.671 0.366 (multiplicity 4)

The 8 most intense peaks (2θ = 5–70°), by angle:
(hkl), 2θ (°), I/Imax
1 0 0, 13.94, 48
1 0 2, 18.81, 100
0 1 2, 20.00, 54
1 1 0, 21.54, 92
1 1 -2, 23.87, 64
1 0 -4, 25.97, 83
0 1 4, 28.39, 43
2 1 1, 33.58, 57